Entry 1:
Starting from a crystal structure in Alexandria, relaxed with GGA-PBE, the powder diffractogram of DyH8Rh2 was simulated for Cu Kα (weighted mean of Kα1 and Kα2).
No peak broadening, texture or thermal motion is included.

Structure:
a = 4.376 Å, b = 4.376 Å, c = 4.743 Å
α = 90.00°, β = 90.00°, γ = 90.00°
Space group P4/mmm (No. 123)
One atom of each set of equivalent atoms:
Dy (0.000, 0.000, 0.000) x1
H (0.282, 0.282, 0.304) x8
Rh (0.000, 0.500, 0.500) x2

The 10 most intense peaks (2θ from 15° to 90°), in order of rising 2θ:
20.30 deg, d 4.376, I = 34; 27.74 deg, d 3.216, I = 33; 34.61 deg, d 2.591, I = 100; 37.94 deg, d 2.371, I = 19; 41.26 deg, d 2.188, I = 29; 50.45 deg, d 1.809, I = 13; 57.30 deg, d 1.608, I = 24; 66.41 deg, d 1.408, I = 15; 70.95 deg, d 1.328, I = 24; 73.02 deg, d 1.296, I = 11



Entry 2:
Starting from a crystal structure in Alexandria, relaxed with GGA-PBE, the powder diffractogram of Pm3Au11 was simulated for Cu Kα (weighted mean of Kα1 and Kα2).
No peak broadening, texture or thermal motion is included.

Structure:
a = 4.643 Å, b = 9.943 Å, c = 13.203 Å
α = 90.00°, β = 90.00°, γ = 90.00°
Space group Immm (No. 71)
One atom of each set of equivalent atoms:
Pm (0.000, 0.000, 0.000) x2
Pm (0.000, 0.000, 0.298) x4
Au (0.000, 0.174, 0.500) x4
Au (0.000, 0.280, 0.131) x8
Au (0.000, 0.365, 0.339) x8
Au (0.000, 0.500, 0.000) x2

The 10 most intense peaks (2θ from 15° to 90°), in order of rising 2θ:
32.56 deg, d 2.750, I = 33; 33.34 deg, d 2.687, I = 100; 34.54 deg, d 2.597, I = 28; 35.96 deg, d 2.497, I = 50; 38.79 deg, d 2.322, I = 71; 41.02 deg, d 2.201, I = 27; 41.78 deg, d 2.162, I = 47; 43.32 deg, d 2.089, I = 41; 57.70 deg, d 1.598, I = 27; 65.28 deg, d 1.429, I = 33



Entry 3:
Starting from a crystal structure in Alexandria, relaxed with GGA-PBE, the powder diffractogram of HoTmIr was simulated for Cu Kα (weighted mean of Kα1 and Kα2).
No peak broadening, texture or thermal motion is included.

Structure:
a = 4.760 Å, b = 4.760 Å, c = 6.728 Å
α = 90.00°, β = 90.00°, γ = 90.00°
Space group P4_2/mmc (No. 131)
One atom of each set of equivalent atoms:
Ho (0.000, 0.000, 0.250) x2
Tm (0.500, 0.500, 0.250) x2
Ir (0.000, 0.500, 0.000) x2

The 10 most intense peaks (2θ from 15° to 90°), in order of rising 2θ:
22.89 deg, d 3.886, I = 32; 26.49 deg, d 3.365, I = 10; 37.81 deg, d 2.380, I = 100; 44.65 deg, d 2.029, I = 17; 54.54 deg, d 1.683, I = 18; 59.90 deg, d 1.544, I = 7; 68.27 deg, d 1.374, I = 36; 73.05 deg, d 1.295, I = 5; 80.77 deg, d 1.190, I = 11; 85.32 deg, d 1.138, I = 5



Entry 4:
Starting from a crystal structure in Alexandria, relaxed with GGA-PBE, the powder diffractogram of Sr3In6Pb5 was simulated for Cu Kα (weighted mean of Kα1 and Kα2).
No peak broadening, texture or thermal motion is included.

Structure:
a = 5.336 Å, b = 14.116 Å, c = 11.795 Å
α = 90.00°, β = 90.00°, γ = 90.00°
Space group Pmmn (No. 59, origin choice 2)
One atom of each set of equivalent atoms:
Sr (0.250, 0.048, 0.250) x4
Sr (0.250, 0.750, 0.249) x2
In (0.250, 0.110, 0.619) x4
In (0.250, 0.250, 0.077) x2
In (0.250, 0.250, 0.424) x2
In (0.250, 0.610, 0.975) x4
Pb (0.250, 0.099, 0.879) x4
Pb (0.250, 0.600, 0.522) x4
Pb (0.250, 0.750, 0.754) x2

The 10 most intense peaks (2θ from 15° to 90°), in order of rising 2θ:
29.50 deg, d 3.028, I = 100; 30.96 deg, d 2.888, I = 29; 31.32 deg, d 2.856, I = 15; 33.59 deg, d 2.668, I = 47; 35.36 deg, d 2.539, I = 44; 38.19 deg, d 2.356, I = 30; 38.25 deg, d 2.353, I = 18; 45.32 deg, d 2.001, I = 17; 51.81 deg, d 1.765, I = 19; 58.04 deg, d 1.589, I = 27



Entry 5:
Starting from a crystal structure in Alexandria, relaxed with GGA-PBE, the powder diffractogram of Pu4HSe5 was simulated for Cu Kα (weighted mean of Kα1 and Kα2).
No peak broadening, texture or thermal motion is included.

Structure:
a = 17.843 Å, b = 4.003 Å, c = 7.249 Å
α = 90.00°, β = 97.27°, γ = 90.00°
Space group C2/m (No. 12)
One atom of each set of equivalent atoms:
Pu (0.014, 0.000, 0.223) x4
Pu (0.226, 0.500, 0.236) x4
H (0.000, 0.500, 0.000) x2
Se (0.000, 0.500, 0.500) x2
Se (0.146, 0.000, 0.976) x4
Se (0.163, 0.000, 0.454) x4

The 10 most intense peaks (2θ from 15° to 90°), in order of rising 2θ:
20.07 deg, d 4.425, I = 97; 22.78 deg, d 3.904, I = 80; 26.28 deg, d 3.391, I = 74; 28.86 deg, d 3.093, I = 93; 29.98 deg, d 2.981, I = 55; 34.06 deg, d 2.632, I = 62; 35.52 deg, d 2.527, I = 85; 38.23 deg, d 2.354, I = 100; 42.28 deg, d 2.138, I = 62; 45.31 deg, d 2.002, I = 61



Entry 6:
Starting from a crystal structure in Alexandria, relaxed with GGA-PBE, the powder diffractogram of Ho6Cu5Hg was simulated for Cu Kα (weighted mean of Kα1 and Kα2).
No peak broadening, texture or thermal motion is included.

Structure:
a = 4.954 Å, b = 14.825 Å, c = 7.004 Å
α = 90.00°, β = 90.00°, γ = 90.00°
Space group Cmmm (No. 65)
One atom of each set of equivalent atoms:
Ho (0.000, 0.000, 0.239) x4
Ho (0.000, 0.329, 0.245) x8
Cu (0.000, 0.165, 0.000) x4
Cu (0.000, 0.165, 0.500) x4
Cu (0.000, 0.500, 0.000) x2
Hg (0.000, 0.500, 0.500) x2

The 10 most intense peaks (2θ from 15° to 90°), in order of rising 2θ:
25.45 deg, d 3.500, I = 10; 36.30 deg, d 2.475, I = 100; 44.86 deg, d 2.021, I = 3; 52.28 deg, d 1.750, I = 17; 59.00 deg, d 1.566, I = 3; 65.27 deg, d 1.430, I = 23; 65.38 deg, d 1.427, I = 11; 77.05 deg, d 1.238, I = 9; 88.28 deg, d 1.107, I = 13; 88.42 deg, d 1.106, I = 3